Record 1
Diffraction record for V3O8. The powder diffraction line list is calculated, not measured: it uses a DFT-relaxed cell (PBE+U, the Materials Project) and λ = 1.5418 Å (Cu Kα).

Most intense lines, 15° ≤ 2θ ≤ 90°, in order of falling intensity:
| 2theta | I (rel.) |
| --- | --- |
| 17.71 | 100 |
| 37.23 | 52 |
| 22.66 | 48 |
| 27.93 | 41 |
| 21.76 | 32 |
| 49.56 | 29 |
| 46.85 | 21 |
| 18.08 | 19 |
| 52.55 | 12 |
| 48.20 | 10 |

Crystal structure
```
11
Lattice="9.8273 -1.4184 0.0000 9.8273 1.4184 0.0000 -1.1369 0.0000 5.0094" Properties=species:S:1:pos:R:3 pbc="T T T"
V 0.0000 0.0000 0.0000
V 2.4378 0.0000 4.2248
V 16.0799 0.0000 0.7845
O 0.7941 0.0000 4.6465
O 4.5732 0.0000 4.4966
O 6.1155 0.0000 1.9212
O 8.4592 0.0000 3.8041
O 10.0584 0.0000 1.2052
O 12.4022 0.0000 3.0881
O 13.9445 0.0000 0.5127
O 17.7236 0.0000 0.3629
```

Record 2
Diffraction record for Li2TiMn3O8. The powder diffraction line list is calculated, not measured: it uses a DFT-relaxed cell (PBE+U, the Materials Project) and λ = 1.5418 Å (Cu Kα).

Most intense lines, 15° ≤ 2θ ≤ 90°, in order of falling intensity:
| 2theta | I (rel.) |
| --- | --- |
| 18.14 | 100 |
| 18.22 | 93 |
| 40.99 | 41 |
| 43.44 | 35 |
| 43.92 | 34 |
| 61.34 | 22 |
| 35.58 | 21 |
| 34.09 | 19 |
| 34.23 | 16 |
| 35.95 | 14 |

Crystal structure
```
56
Lattice="8.2469 0.0000 0.0000 0.0234 8.3336 0.0000 0.0645 0.0098 8.8067" Properties=species:S:1:pos:R:3 pbc="T T T"
Li 0.0000 0.0000 0.0000
Li 0.1123 4.1704 4.4942
Li 2.0897 2.0540 2.2325
Li 2.2140 6.1552 6.6274
Li 4.1445 4.0698 0.1116
Li 4.2524 8.2568 4.4398
Li 6.2110 1.9831 6.5871
Li 6.2967 6.1917 2.2006
Ti 1.1503 0.9315 5.5553
Ti 3.0810 7.3104 1.1534
Ti 5.2774 3.0818 3.3195
Ti 7.3074 5.0644 7.7191
Mn 1.1059 7.2083 3.3915
Mn 1.1541 3.0731 7.6900
Mn 1.1079 5.1262 1.1071
Mn 3.1697 3.0848 5.4971
Mn 3.1921 0.9836 7.7282
Mn 3.1763 5.1455 3.2863
Mn 5.2272 5.1801 5.5078
Mn 5.2696 7.2430 7.7716
Mn 5.2392 0.9746 1.1430
Mn 7.2668 0.9976 3.4101
Mn 7.3126 7.2564 5.6275
Mn 7.2846 3.0331 1.1176
O 0.9939 7.3579 5.6298
O 0.9720 0.8705 3.5385
O 0.9906 3.1235 0.8510
O 1.0432 4.9927 7.7099
O 1.2282 1.1235 7.5971
O 1.2284 2.9786 5.7212
O 1.2228 7.1314 1.1082
O 1.2398 5.2853 3.2954
O 3.0224 1.0633 5.5153
O 3.0691 2.9507 7.6742
O 3.0449 5.2321 1.3254
O 3.0987 7.1137 3.1651
O 3.2503 3.2393 3.3375
O 3.2863 5.1176 5.2637
O 3.2609 0.8286 1.1879
O 3.3318 7.3060 7.9163
O 5.1113 0.8299 7.7524
O 5.1040 3.2094 5.3700
O 5.0998 5.0480 3.2895
O 5.1764 7.3425 0.9135
O 5.3476 7.1384 5.7737
O 5.3225 2.9449 1.2957
O 5.3869 5.2995 7.7796
O 5.3510 1.1298 3.3693
O 7.1696 3.0257 3.3495
O 7.1943 5.2983 5.7040
O 7.2146 7.1593 7.5843
O 7.1806 1.1036 1.2348
O 7.3920 7.2799 3.6565
O 7.3975 0.8255 5.5641
O 7.4313 3.1941 7.6584
O 7.4104 5.0386 0.9315
```